Rb3LuCl6: theoretical XRD peak list (λ = 1.5418 Å (Cu Kα)), based on a DFT-relaxed cell (PBE, the Materials Project).
Peak positions follow from Bragg's law for the DFT cell and can differ from measured ones.

Most intense lines, 2θ = 10–90°, by angle:
2θ (°)  d [Å]  I (rel.)
13.81  6.413  68.2
15.94  5.559  37.0
22.24  3.998  33.0
22.61  3.933  73.5
23.00  3.867  26.6
23.52  3.783  100.0
32.21  2.779  72.7
33.48  2.676  27.3
42.12  2.145  26.9
48.11  1.891  28.2

Structural model:
a b c (Å): 26.110 7.996 12.882
angles (deg): 90.00 99.59 90.00
Space group C2/c (No. 15)
Inequivalent atoms, fractional coordinates:
Rb 0.050 0.245 0.432 [8 per cell]
Rb 0.154 0.187 0.145 [8 per cell]
Rb 0.161 0.313 0.799 [8 per cell]
Lu 0.000 0.284 0.750 [4 per cell]
Lu 0.250 0.250 0.500 [4 per cell]
Cl 0.057 0.056 0.682 [8 per cell]
Cl 0.057 0.275 0.933 [8 per cell]
Cl 0.057 0.477 0.194 [8 per cell]
Cl 0.174 0.055 0.419 [8 per cell]
Cl 0.178 0.454 0.535 [8 per cell]
Cl 0.249 0.113 0.684 [8 per cell]